No. 1
Structure and calculated powder diffraction line list of Ac6Ga2Cu (a PBE-relaxed structure; Cu Kα X-rays).
No peak broadening, texture or thermal motion is included.

Structural model:
Unit cell a=7.0756 b=8.7592 c=12.3548 alpha=90.00 beta=122.62 gamma=90.00
Positions (direct):
Ac 0.0806 0.1734 0.4404
Ac 0.0806 0.3266 0.9404
Ac 0.3010 0.6811 0.4327
Ac 0.3010 0.8189 0.9327
Ac 0.4071 0.0430 0.2658
Ac 0.4071 0.4570 0.7658
Ac 0.5929 0.5430 0.2342
Ac 0.5929 0.9570 0.7342
Ac 0.6990 0.1811 0.0673
Ac 0.6990 0.3189 0.5673
Ac 0.9194 0.6734 0.0596
Ac 0.9194 0.8266 0.5596
Ga 0.1823 0.1231 0.7502
Ga 0.1823 0.3769 0.2502
Ga 0.8177 0.6231 0.7498
Ga 0.8177 0.8769 0.2498
Cu 0.0000 0.0000 0.0000
Cu 0.0000 0.5000 0.5000

Peak list (10 most intense, 5 to 70 degrees two-theta, by angle)
25.6°, intensity 40; 26.6°, intensity 62; 27.2°, intensity 85; 28.2°, intensity 100; 28.9°, intensity 61; 29.2°, intensity 70; 30.9°, intensity 47; 33.2°, intensity 65; 47.6°, intensity 36; 48.8°, intensity 37

***

No. 2
Structure and calculated powder diffraction line list of AcGaCu4 (a PBE-relaxed structure; Cu Kα X-rays).
No peak broadening, texture or thermal motion is included.

Structural model:
Unit cell a=6.8740 b=4.1650 c=7.8321 alpha=90.00 beta=90.00 gamma=90.00
Positions (direct):
Ac 0.2500 0.0000 0.1378
Ac 0.7500 0.0000 0.8622
Ga 0.2500 0.0000 0.7288
Ga 0.7500 0.0000 0.2712
Cu 0.0000 0.0000 0.5000
Cu 0.0579 0.5000 0.7204
Cu 0.2500 0.5000 0.4465
Cu 0.4421 0.5000 0.7204
Cu 0.5000 0.0000 0.5000
Cu 0.5579 0.5000 0.2796
Cu 0.7500 0.5000 0.5535
Cu 0.9421 0.5000 0.2796

Peak list (10 most intense, 5 to 70 degrees two-theta, by angle)
24.2°, intensity 35; 26.2°, intensity 54; 27.5°, intensity 31; 33.8°, intensity 43; 34.0°, intensity 86; 35.8°, intensity 68; 36.8°, intensity 40; 41.1°, intensity 100; 43.5°, intensity 62; 51.1°, intensity 42

***

No. 3
Structure and calculated powder diffraction line list of Ac5GaCu2 (a PBE-relaxed structure; Cu Kα X-rays).
No peak broadening, texture or thermal motion is included.

Structural model:
Unit cell a=9.2933 b=9.2933 c=9.2933 alpha=125.33 beta=125.33 gamma=81.00
Positions (direct):
Ac 0.0000 0.0000 0.0000
Ac 0.0144 0.5144 0.8183
Ac 0.1961 0.0144 0.5000
Ac 0.3039 0.8039 0.8183
Ac 0.4856 0.3039 0.5000
Ac 0.5000 0.5000 0.0000
Ac 0.5144 0.6961 0.5000
Ac 0.6961 0.1961 0.1817
Ac 0.8039 0.9856 0.5000
Ac 0.9856 0.4856 0.1817
Ga 0.2500 0.2500 0.0000
Ga 0.7500 0.7500 0.0000
Cu 0.1228 0.3772 0.5000
Cu 0.3772 0.8772 0.2543
Cu 0.6228 0.1228 0.7457
Cu 0.8772 0.6228 0.5000

Peak list (10 most intense, 5 to 70 degrees two-theta, by angle)
24.2°, intensity 34; 29.3°, intensity 21; 30.1°, intensity 100; 32.9°, intensity 30; 33.2°, intensity 53; 48.0°, intensity 14; 51.2°, intensity 16; 51.5°, intensity 13; 52.3°, intensity 21; 61.8°, intensity 17

***

No. 4
Structure and calculated powder diffraction line list of Ac3Ga8Cu3 (a PBE-relaxed structure; Cu Kα X-rays).
No peak broadening, texture or thermal motion is included.

Structural model:
Unit cell a=8.5145 b=8.5145 c=8.5145 alpha=148.98 beta=109.74 gamma=78.77
Positions (direct):
Ac 0.0000 0.0000 0.0000
Ac 0.3090 0.3090 0.0000
Ac 0.6910 0.6910 0.0000
Ga 0.0200 0.6589 0.3611
Ga 0.1537 0.8683 0.2853
Ga 0.2978 0.6589 0.6389
Ga 0.4170 0.1317 0.2853
Ga 0.5830 0.8683 0.7147
Ga 0.7022 0.3411 0.3611
Ga 0.8463 0.1317 0.7147
Ga 0.9800 0.3411 0.6389
Cu 0.2892 0.5000 0.7892
Cu 0.5000 0.0000 0.5000
Cu 0.7108 0.5000 0.2108

Peak list (10 most intense, 5 to 70 degrees two-theta, by angle)
21.5°, intensity 15; 22.2°, intensity 14; 28.2°, intensity 21; 33.8°, intensity 100; 34.2°, intensity 20; 39.6°, intensity 31; 41.2°, intensity 12; 53.3°, intensity 11; 58.4°, intensity 12; 68.1°, intensity 13

***

No. 5
Structure and calculated powder diffraction line list of AcGa2Cu8 (a PBE-relaxed structure; Cu Kα X-rays).
No peak broadening, texture or thermal motion is included.

Structural model:
Unit cell a=6.3785 b=6.3785 c=4.7747 alpha=90.00 beta=90.00 gamma=90.00
Positions (direct):
Ac 0.0000 0.0000 0.0000
Ga 0.0000 0.5000 0.5000
Ga 0.5000 0.0000 0.5000
Cu 0.3102 0.3102 0.2509
Cu 0.3102 0.3102 0.7491
Cu 0.3102 0.6898 0.2509
Cu 0.3102 0.6898 0.7491
Cu 0.6898 0.3102 0.2509
Cu 0.6898 0.3102 0.7491
Cu 0.6898 0.6898 0.2509
Cu 0.6898 0.6898 0.7491

Peak list (10 most intense, 5 to 70 degrees two-theta, by angle)
23.3°, intensity 53; 27.2°, intensity 100; 31.4°, intensity 71; 36.7°, intensity 33; 40.0°, intensity 58; 40.3°, intensity 47; 42.5°, intensity 59; 47.6°, intensity 95; 49.0°, intensity 41; 65.7°, intensity 40

***

No. 6
Structure and calculated powder diffraction line list of LiAc2Ga3Cu4 (a PBE-relaxed structure; Cu Kα X-rays).
No peak broadening, texture or thermal motion is included.

Structural model:
Unit cell a=4.4099 b=4.4099 c=10.2103 alpha=90.00 beta=90.00 gamma=90.00
Positions (direct):
Li 0.0000 0.0000 0.0000
Ac 0.0000 0.5000 0.7425
Ac 0.5000 0.0000 0.2575
Ga 0.0000 0.5000 0.3768
Ga 0.5000 0.0000 0.6232
Ga 0.5000 0.5000 0.0000
Cu 0.0000 0.0000 0.5000
Cu 0.0000 0.5000 0.1283
Cu 0.5000 0.0000 0.8717
Cu 0.5000 0.5000 0.5000

Peak list (10 most intense, 5 to 70 degrees two-theta, by angle)
22.0°, intensity 39; 28.6°, intensity 45; 33.3°, intensity 97; 33.7°, intensity 100; 40.9°, intensity 62; 49.2°, intensity 33; 53.7°, intensity 50; 59.3°, intensity 21; 65.8°, intensity 27; 69.9°, intensity 24

***

No. 7
Structure and calculated powder diffraction line list of AcMgGa2Cu (a PBE-relaxed structure; Cu Kα X-rays).
No peak broadening, texture or thermal motion is included.

Structural model:
Unit cell a=5.2169 b=6.7725 c=6.3603 alpha=90.00 beta=90.00 gamma=90.00
Positions (direct):
Ac 0.2500 0.0000 0.2441
Ac 0.7500 0.0000 0.7559
Mg 0.2500 0.5000 0.3661
Mg 0.7500 0.5000 0.6339
Ga 0.2500 0.2825 0.7482
Ga 0.2500 0.7175 0.7482
Ga 0.7500 0.2825 0.2518
Ga 0.7500 0.7175 0.2518
Cu 0.0000 0.5000 0.0000
Cu 0.5000 0.5000 0.0000

Peak list (10 most intense, 5 to 70 degrees two-theta, by angle)
25.7°, intensity 80; 28.1°, intensity 28; 31.1°, intensity 31; 34.4°, intensity 19; 34.6°, intensity 100; 44.9°, intensity 33; 48.2°, intensity 20; 49.5°, intensity 18; 54.0°, intensity 23; 61.7°, intensity 26

***

No. 8
Structure and calculated powder diffraction line list of AcGa2CuPd5 (a PBE-relaxed structure; Cu Kα X-rays).
No peak broadening, texture or thermal motion is included.

Structural model:
Unit cell a=4.8161 b=4.8161 c=7.3062 alpha=90.00 beta=90.00 gamma=90.00
Positions (direct):
Ac 0.0000 0.0000 0.0000
Ga 0.5000 0.5000 0.3341
Ga 0.5000 0.5000 0.6659
Cu 0.0000 0.0000 0.5000
Pd 0.0000 0.5000 0.2990
Pd 0.0000 0.5000 0.7010
Pd 0.5000 0.0000 0.2990
Pd 0.5000 0.0000 0.7010
Pd 0.5000 0.5000 0.0000

Peak list (10 most intense, 5 to 70 degrees two-theta, by angle)
28.9°, intensity 39; 30.7°, intensity 21; 36.1°, intensity 100; 36.9°, intensity 29; 37.3°, intensity 94; 49.1°, intensity 12; 53.5°, intensity 39; 53.8°, intensity 32; 66.5°, intensity 33; 67.1°, intensity 20

***

No. 9
Structure and calculated powder diffraction line list of Ac2Ga3Cu12Pt (a PBE-relaxed structure; Cu Kα X-rays).
No peak broadening, texture or thermal motion is included.

Structural model:
Unit cell a=9.9134 b=9.9134 c=9.9134 alpha=36.84 beta=36.84 gamma=36.84
Positions (direct):
Ac 0.1515 0.1515 0.1515
Ac 0.8485 0.8485 0.8485
Ga 0.0000 0.5000 0.5000
Ga 0.5000 0.0000 0.5000
Ga 0.5000 0.5000 0.0000
Cu 0.0817 0.0817 0.6958
Cu 0.0817 0.6958 0.0817
Cu 0.1499 0.5630 0.5630
Cu 0.3042 0.9183 0.9183
Cu 0.4370 0.4370 0.8501
Cu 0.4370 0.8501 0.4370
Cu 0.5630 0.1499 0.5630
Cu 0.5630 0.5630 0.1499
Cu 0.6958 0.0817 0.0817
Cu 0.8501 0.4370 0.4370
Cu 0.9183 0.3042 0.9183
Cu 0.9183 0.9183 0.3042
Pt 0.5000 0.5000 0.5000

Peak list (10 most intense, 5 to 70 degrees two-theta, by angle)
28.5°, intensity 17; 30.1°, intensity 100; 34.6°, intensity 48; 36.4°, intensity 19; 39.5°, intensity 30; 41.1°, intensity 25; 42.3°, intensity 24; 51.5°, intensity 27; 54.5°, intensity 23; 59.0°, intensity 24

***

No. 10
Structure and calculated powder diffraction line list of AcGaCu2S4 (a PBE-relaxed structure; Cu Kα X-rays).
No peak broadening, texture or thermal motion is included.

Structural model:
Unit cell a=6.3706 b=6.9197 c=7.6906 alpha=90.00 beta=90.00 gamma=90.00
Positions (direct):
Ac 0.0000 0.0000 0.0000
Ac 0.5000 0.5000 0.5000
Ga 0.0000 0.0000 0.5000
Ga 0.5000 0.5000 0.0000
Cu 0.0000 0.5000 0.1766
Cu 0.0000 0.5000 0.8234
Cu 0.5000 0.0000 0.3234
Cu 0.5000 0.0000 0.6766
S 0.2146 0.1853 0.3263
S 0.2146 0.8147 0.6737
S 0.2854 0.3147 0.8263
S 0.2854 0.6853 0.1737
S 0.7146 0.3147 0.1737
S 0.7146 0.6853 0.8263
S 0.7854 0.1853 0.6737
S 0.7854 0.8147 0.3263

Peak list (10 most intense, 5 to 70 degrees two-theta, by angle)
18.1°, intensity 42; 18.9°, intensity 28; 25.7°, intensity 28; 28.0°, intensity 19; 30.1°, intensity 100; 31.6°, intensity 32; 37.4°, intensity 21; 38.4°, intensity 46; 48.2°, intensity 29; 50.9°, intensity 25

***

No. 11
Structure and calculated powder diffraction line list of AcGa2CuSi (a PBE-relaxed structure; Cu Kα X-rays).
No peak broadening, texture or thermal motion is included.

Structural model:
Unit cell a=4.3744 b=4.4736 c=10.2158 alpha=90.00 beta=90.00 gamma=90.00
Positions (direct):
Ac 0.0000 0.0000 0.0000
Ac 0.5000 0.5000 0.5000
Ga 0.0000 0.0000 0.6217
Ga 0.0000 0.5000 0.2521
Ga 0.5000 0.0000 0.7521
Ga 0.5000 0.5000 0.1217
Cu 0.0000 0.5000 0.7560
Cu 0.5000 0.0000 0.2560
Si 0.0000 0.0000 0.3752
Si 0.5000 0.5000 0.8752

Peak list (10 most intense, 5 to 70 degrees two-theta, by angle)
21.7°, intensity 23; 22.1°, intensity 23; 28.5°, intensity 18; 33.1°, intensity 33; 33.3°, intensity 31; 33.6°, intensity 100; 40.3°, intensity 24; 41.3°, intensity 22; 53.9°, intensity 17; 62.1°, intensity 17

***

No. 12
Structure and calculated powder diffraction line list of AcGa2CuSn (a PBE-relaxed structure; Cu Kα X-rays).
No peak broadening, texture or thermal motion is included.

Structural model:
Unit cell a=4.5319 b=4.5995 c=10.7981 alpha=90.00 beta=90.00 gamma=90.00
Positions (direct):
Ac 0.0000 0.0000 0.0000
Ac 0.5000 0.5000 0.5000
Ga 0.0000 0.0000 0.4037
Ga 0.0000 0.5000 0.2486
Ga 0.5000 0.0000 0.7486
Ga 0.5000 0.5000 0.9037
Cu 0.0000 0.0000 0.6299
Cu 0.5000 0.5000 0.1299
Sn 0.0000 0.5000 0.7492
Sn 0.5000 0.0000 0.2492

Peak list (10 most intense, 5 to 70 degrees two-theta, by angle)
31.6°, intensity 24; 31.7°, intensity 25; 32.3°, intensity 100; 39.2°, intensity 24; 39.8°, intensity 23; 51.3°, intensity 13; 57.1°, intensity 16; 58.7°, intensity 13; 66.7°, intensity 13; 67.6°, intensity 18